(1)
This entry pairs a crystal structure of Ce2Sn with its computed powder diffraction line list. Radiation: CuKα. Structure: a crystal structure in Alexandria, relaxed with PBE.

The 10 most intense peaks (15° ≤ 2θ ≤ 90°), low angle first:
2θ = 32.5°, I = 100.0
2θ = 33.3°, I = 17.5
2θ = 38.7°, I = 17.1
2θ = 40.8°, I = 14.8
2θ = 51.9°, I = 10.0
2θ = 53.6°, I = 9.1
2θ = 57.5°, I = 10.9
2θ = 66.1°, I = 13.0
2θ = 68.0°, I = 8.9
2θ = 69.0°, I = 11.5

Atomic structure:
Lattice parameters (Å, degrees): 8.4023 8.4023 4.4276 90.00 90.00 147.84
Sites, in units of the cell vectors:
Ce  0.0000  0.0000  0.0000
Ce  0.1881  0.8119  0.5000
Ce  0.5000  0.5000  0.5000
Ce  0.8119  0.1881  0.5000
Sn  0.3514  0.6486  0.0000
Sn  0.6486  0.3514  0.0000

=====

(2)
This entry pairs a crystal structure of CeSn with its computed powder diffraction line list. Radiation: CuKα. Structure: a crystal structure in Alexandria, relaxed with PBE.

The 8 most intense peaks (15° ≤ 2θ ≤ 90°), low angle first:
2θ = 24.3°, I = 1.0
2θ = 28.1°, I = 100.0
2θ = 40.2°, I = 77.5
2θ = 49.7°, I = 28.1
2θ = 58.1°, I = 13.3
2θ = 65.8°, I = 36.8
2θ = 73.0°, I = 27.4
2θ = 86.7°, I = 9.1

Atomic structure:
Lattice parameters (Å, degrees): 4.4907 4.4907 4.4907 60.00 60.00 60.00
Sites, in units of the cell vectors:
Ce  0.0000  0.0000  0.0000
Sn  0.5000  0.5000  0.5000

=====

(3)
This entry pairs a crystal structure of Tb2CeSn3 with its computed powder diffraction line list. Radiation: CuKα. Structure: a crystal structure in Alexandria, relaxed with PBE.

The 10 most intense peaks (15° ≤ 2θ ≤ 90°), low angle first:
2θ = 28.3°, I = 56.8
2θ = 29.8°, I = 100.0
2θ = 34.7°, I = 33.5
2θ = 41.6°, I = 81.8
2θ = 45.4°, I = 31.9
2θ = 58.0°, I = 15.6
2θ = 59.2°, I = 14.6
2θ = 66.9°, I = 20.4
2θ = 67.1°, I = 20.2
2θ = 69.4°, I = 18.2

Atomic structure:
Lattice parameters (Å, degrees): 6.8702 6.8702 6.8702 135.81 125.42 72.75
Sites, in units of the cell vectors:
Tb  0.1648  0.1648  0.0000
Tb  0.8352  0.8352  0.0000
Ce  0.5000  0.5000  0.0000
Sn  0.0000  0.5000  0.5000
Sn  0.3287  0.8287  0.5000
Sn  0.6713  0.1713  0.5000